Diffraction record for Sr4MgV2Fe2As2O6. The powder diffraction line list is calculated, not measured: it uses DFT lattice parameters and positions (PBE+U) and CuKα.
Lines closer than 0.1° are merged.

Largest 8 diffraction maxima, in order of falling intensity, 2θ from 10° to 90°:
index, 2θ/deg, I (rel.)
1 1 0, 31.69, 100
0 1 5, 31.98, 96
1 0 5, 32.38, 85
1 1 5, 39.47, 65
0 2 0, 44.81, 57
1 1 4, 36.84, 56
1 1 3, 34.67, 56
2 0 0, 46.04, 53

Structure:
abc: 3.9428 4.0453 19.3853
angles: 90.00 90.00 90.00
Space group Pmm2 (No. 25)
Asymmetric unit:
1 Sr 0.0000 0.0000 0.0000
2 Sr 0.0000 0.0000 0.1849
3 Sr 0.5000 0.5000 0.5043
4 Sr 0.5000 0.5000 0.8622
5 Mg 0.5000 0.5000 0.6982
6 V 0.0000 0.0000 0.7659
7 V 0.5000 0.5000 0.0873
8 Fe 0.0000 0.5000 0.3484
9 Fe 0.5000 0.0000 0.3473
10 As 0.0000 0.0000 0.4366
11 As 0.5000 0.5000 0.2619
12 O 0.0000 0.0000 0.8652
13 O 0.0000 0.5000 0.0977
14 O 0.0000 0.5000 0.7492
15 O 0.5000 0.0000 0.0953
16 O 0.5000 0.0000 0.7423
17 O 0.5000 0.5000 0.9817

Diffraction record for Sr4MgV2Fe2As2O6. The powder diffraction line list is calculated, not measured: it uses DFT lattice parameters and positions (PBE+U) and CuKα.
Lines closer than 0.1° are merged.

Largest 8 diffraction maxima, in order of falling intensity, 2θ from 10° to 90°:
index, 2θ/deg, I (rel.)
1 0 4, 29.70, 100
1 0 5, 33.18, 95
1 1 0, 31.79, 90
0 2 0, 45.50, 51
2 0 0, 45.64, 51
1 1 5, 40.36, 47
1 2 5, 57.52, 38
1 1 3, 35.08, 36

Structure:
abc: 3.9752 3.9872 18.3731
angles: 90.00 90.00 90.00
Space group Pmm2 (No. 25)
Asymmetric unit:
1 Sr 0.0000 0.0000 0.0000
2 Sr 0.0000 0.0000 0.1970
3 Sr 0.5000 0.5000 0.6574
4 Sr 0.5000 0.5000 0.8565
5 Mg 0.5000 0.5000 0.4811
6 V 0.0000 0.0000 0.7551
7 V 0.5000 0.5000 0.0944
8 Fe 0.0000 0.5000 0.3692
9 Fe 0.5000 0.0000 0.3688
10 As 0.0000 0.0000 0.4959
11 As 0.5000 0.5000 0.2806
12 O 0.0000 0.0000 0.8643
13 O 0.0000 0.5000 0.1064
14 O 0.0000 0.5000 0.7363
15 O 0.5000 0.0000 0.1059
16 O 0.5000 0.0000 0.7358
17 O 0.5000 0.5000 0.9843

Diffraction record for Sr4MgV2Fe2As2O6. The powder diffraction line list is calculated, not measured: it uses DFT lattice parameters and positions (PBE+U) and CuKα.
Lines closer than 0.1° are merged.

Largest 8 diffraction maxima, in order of falling intensity, 2θ from 10° to 90°:
index, 2θ/deg, I (rel.)
2 0 0, 43.86, 100
1 0 4, 30.93, 98
1 0 6, 39.89, 94
1 1 4, 38.00, 85
1 1 0, 30.63, 71
2 1 6, 60.77, 52
2 1 4, 54.63, 38
2 2 0, 63.77, 30

Structure:
abc: 4.1283 4.1283 16.2020
angles: 90.00 90.00 90.00
Space group P-4m2 (No. 115)
Asymmetric unit:
1 Sr 0.0000 0.5000 0.1172
2 Sr 0.0000 0.5000 0.3151
3 Mg 0.0000 0.0000 0.0000
4 V 0.0000 0.5000 0.8031
5 Fe 0.0000 0.0000 0.5000
6 Fe 0.5000 0.5000 0.5000
7 As 0.0000 0.5000 0.6019
8 O 0.0000 0.0000 0.1965
9 O 0.0000 0.5000 0.9514
10 O 0.5000 0.5000 0.2076

Diffraction record for Sr4MgV2Fe2As2O6. The powder diffraction line list is calculated, not measured: it uses DFT lattice parameters and positions (PBE+U) and CuKα.
Lines closer than 0.1° are merged.

Largest 8 diffraction maxima, in order of falling intensity, 2θ from 10° to 90°:
index, 2θ/deg, I (rel.)
0 1 5, 31.64, 100
1 1 0, 31.47, 87
1 0 5, 32.03, 86
1 1 5, 39.10, 83
0 2 0, 44.52, 63
2 0 0, 45.69, 58
1 1 1, 31.81, 51
1 1 4, 36.52, 47

Structure:
abc: 3.9714 4.0705 19.6590
angles: 90.00 90.00 90.00
Space group Pmm2 (No. 25)
Asymmetric unit:
1 Sr 0.0000 0.0000 0.0000
2 Sr 0.0000 0.0000 0.1803
3 Sr 0.5000 0.5000 0.6642
4 Sr 0.5000 0.5000 0.8638
5 Mg 0.0000 0.5000 0.5062
6 V 0.0000 0.0000 0.7714
7 V 0.5000 0.5000 0.0854
8 Fe 0.0000 0.5000 0.3414
9 Fe 0.5000 0.0000 0.3423
10 As 0.0000 0.0000 0.4260
11 As 0.5000 0.5000 0.2581
12 O 0.0000 0.0000 0.8682
13 O 0.0000 0.5000 0.0959
14 O 0.0000 0.5000 0.6017
15 O 0.5000 0.0000 0.0941
16 O 0.5000 0.0000 0.7459
17 O 0.5000 0.5000 0.9817

Diffraction record for SrNd7Fe8As8O8. The powder diffraction line list is calculated, not measured: it uses DFT lattice parameters and positions (PBE+U) and CuKα.
Lines closer than 0.1° are merged.

Largest 8 diffraction maxima, in order of falling intensity, 2θ from 10° to 90°:
index, 2θ/deg, I (rel.)
2 0 4, 28.95, 100
4 2 4, 53.72, 36
4 0 0, 44.21, 33
2 2 8, 50.07, 29
2 2 2, 32.35, 21
2 2 0, 30.87, 20
2 2 4, 36.46, 19
2 0 6, 36.16, 18

Structure:
abc: 8.1941 8.1941 18.7413
angles: 90.00 90.00 90.00
Space group I4mm (No. 107)
Asymmetric unit:
1 Sr 0.0000 0.0000 0.0000
2 Nd 0.0000 0.0000 0.5038
3 Nd 0.0000 0.5000 0.0056
4 Nd 0.2490 0.2490 0.1273
5 Fe 0.0000 0.2498 0.3156
6 Fe 0.0000 0.2498 0.8163
7 As 0.0000 0.0000 0.2276
8 As 0.0000 0.0000 0.7284
9 As 0.0000 0.5000 0.2288
10 As 0.2493 0.2493 0.4034
11 O 0.0000 0.2475 0.5655
12 O 0.0000 0.2592 0.0693

Diffraction record for FeAsO4. The powder diffraction line list is calculated, not measured: it uses DFT lattice parameters and positions (PBE+U) and CuKα.
Lines closer than 0.1° are merged.

Largest 8 diffraction maxima, in order of falling intensity, 2θ from 10° to 90°:
index, 2θ/deg, I (rel.)
1 0 1, 15.61, 100
2 0 2, 31.52, 85
2 4 0, 30.71, 69
2 0 0, 16.14, 55
4 0 0, 32.61, 45
2 5 1, 39.09, 43
0 3 1, 23.61, 31
3 0 1, 27.84, 30

Structure:
abc: 10.9823 13.7385 6.6317
angles: 90.00 90.00 90.00
Space group Imma (No. 74)
Asymmetric unit:
1 Fe 0.0000 0.0000 0.0000
2 Fe 0.2500 0.1360 0.2500
3 As 0.0000 0.2500 0.0708
4 As 0.2500 0.0733 0.7500
5 O 0.0000 0.1441 0.9380
6 O 0.1283 0.2500 0.2267
7 O 0.1358 0.0160 0.2098
8 O 0.2180 0.1405 0.5441

Diffraction record for Fe4As3O16. The powder diffraction line list is calculated, not measured: it uses DFT lattice parameters and positions (PBE+U) and CuKα.
Lines closer than 0.1° are merged.

Largest 8 diffraction maxima, in order of falling intensity, 2θ from 10° to 90°:
index, 2θ/deg, I (rel.)
1 0 0, 11.18, 100
1 1 1, 19.43, 23
3 1 1, 37.71, 15
2 1 1, 27.62, 11
3 1 0, 35.89, 9
2 2 0, 32.00, 8
2 0 0, 22.48, 7
4 4 0, 66.90, 7

Structure:
abc: 7.9116 7.9116 7.9116
angles: 90.00 90.00 90.00
Space group P-43m (No. 215)
Asymmetric unit:
1 Fe 0.1364 0.1364 0.1364
2 As 0.0000 0.0000 0.5000
3 O 0.1156 0.1156 0.8844
4 O 0.1281 0.1281 0.3785

> Which formula does entry 4 have?

Sr4MgV2Fe2As2O6